[1]
Theoretical powder XRD pattern of CsThSeS for Cu Ka, from a DFT-relaxed cell (GGA-PBE, Alexandria).
Lines closer than 0.1° are merged.

The 10 most intense peaks (2θ from 10° to 90°), low angle first:
10.35°, 8.548 Å, I = 40, (0 0 3)
20.78°, 4.274 Å, I = 32, (0 0 6)
24.75°, 3.598 Å, I = 42, (1 0 1)
25.48°, 3.496 Å, I = 53, (0 1 2)
30.14°, 2.965 Å, I = 100, (0 1 5)
34.77°, 2.580 Å, I = 49, (1 0 7)
43.13°, 2.097 Å, I = 65, (1 1 0)
48.33°, 1.883 Å, I = 22, (1 1 6)
61.99°, 1.497 Å, I = 22, (1 1 12)
71.07°, 1.326 Å, I = 21, (1 2 5)

Cell: 4.1961 4.1961 25.6440 Å, 90.00 90.00 120.00°
Space group R3m (No. 160, hexagonal axes)
One atom of each set of equivalent atoms:
Cs  0.0000  0.0000  0.0000 [3 per cell]
Th  0.0000  0.0000  0.1664 [3 per cell]
Se  0.0000  0.0000  0.5676 [3 per cell]
S  0.0000  0.0000  0.7721 [3 per cell]

[2]
Theoretical powder XRD pattern of Cs2TlSeS for Cu Ka, from a DFT-relaxed cell (GGA-PBE, Alexandria).
Lines closer than 0.1° are merged.

The 10 most intense peaks (2θ from 10° to 90°), low angle first:
11.57°, 7.649 Å, I = 44, (1 0 0)
23.05°, 3.859 Å, I = 75, (1 1 1)
25.74°, 3.461 Å, I = 100, (1 1 -2)
26.79°, 3.328 Å, I = 82, (2 0 1)
28.04°, 3.183 Å, I = 68, (0 0 3)
28.50°, 3.132 Å, I = 30, (2 1 0)
31.48°, 2.842 Å, I = 54, (2 1 1)
32.82°, 2.729 Å, I = 70, (0 2 0)
42.86°, 2.110 Å, I = 46, (2 2 1)
43.71°, 2.071 Å, I = 59, (0 2 3)

Cell: 7.810 5.456 9.754 Å, 90.00 101.64 90.00°
Space group P2_1/m (No. 11)
One atom of each set of equivalent atoms:
Cs  0.101  0.250  0.365 [2 per cell]
Cs  0.262  0.250  0.972 [2 per cell]
Tl  0.479  0.750  0.346 [2 per cell]
Se  0.387  0.750  0.640 [2 per cell]
S  0.180  0.750  0.169 [2 per cell]

[3]
Theoretical powder XRD pattern of CsSi6S12 for Cu Ka, from a DFT-relaxed cell (GGA-PBE, Alexandria).
Lines closer than 0.1° are merged.

The 10 most intense peaks (2θ from 10° to 90°), low angle first:
14.32°, 6.187 Å, I = 100, (0 0 3)
17.87°, 4.965 Å, I = 36, (2 0 2)
19.42°, 4.572 Å, I = 23, (1 1 3)
22.18°, 4.007 Å, I = 26, (1 2 2)
25.16°, 3.540 Å, I = 31, (0 1 5)
27.79°, 3.210 Å, I = 25, (2 1 4)
28.86°, 3.093 Å, I = 38, (0 0 6)
30.04°, 2.975 Å, I = 31, (2 2 3)
34.66°, 2.588 Å, I = 26, (1 0 7)
37.98°, 2.369 Å, I = 28, (1 4 3)

Cell: 13.5720 13.5720 18.5601 Å, 90.00 90.00 120.00°
Space group R-3m (No. 166, hexagonal axes)
One atom of each set of equivalent atoms:
Cs  0.0000  0.0000  0.0000 [3 per cell]
Si  0.1002  0.2004  0.8294 [18 per cell]
S  0.0000  0.3860  0.5000 [18 per cell]
S  0.0858  0.1716  0.1670 [18 per cell]

[4]
Theoretical powder XRD pattern of CsTbSiS4 for Cu Ka, from a DFT-relaxed cell (GGA-PBE, Alexandria).
Lines closer than 0.1° are merged.

The 10 most intense peaks (2θ from 10° to 90°), low angle first:
19.05°, 4.660 Å, I = 47, (1 1 0)
19.70°, 4.507 Å, I = 100, (0 0 4)
21.47°, 4.138 Å, I = 40, (1 1 2)
23.77°, 3.744 Å, I = 46, (0 1 4)
26.43°, 3.373 Å, I = 59, (0 2 0)
27.56°, 3.237 Å, I = 41, (1 1 4)
29.44°, 3.034 Å, I = 67, (2 0 2)
33.19°, 2.699 Å, I = 45, (0 2 4)
39.98°, 2.255 Å, I = 68, (2 2 2)
43.34°, 2.088 Å, I = 43, (2 1 6)

Cell: 6.444 6.745 18.001 Å, 90.00 90.00 90.00°
Space group P2_12_12_1 (No. 19)
One atom of each set of equivalent atoms:
Cs  0.017  0.006  0.468 [4 per cell]
Tb  0.209  0.022  0.728 [4 per cell]
Si  0.209  0.516  0.331 [4 per cell]
S  0.052  0.011  0.098 [4 per cell]
S  0.068  0.255  0.852 [4 per cell]
S  0.106  0.576  0.220 [4 per cell]
S  0.106  0.747  0.842 [4 per cell]